Calculated powder X-ray diffraction pattern
Compound: Ca7Ti8S16
Radiation: Cu Kα X-rays
Structure: a DFT-relaxed cell (PBE, Alexandria)
Peak positions follow from Bragg's law for the DFT cell and can differ from measured ones.

Crystal structure
```
data_Ca7Ti8S16
_chemical_formula_sum 'Ca7 Ti8 S16'
_cell_length_a 7.2277
_cell_length_b 7.2277
_cell_length_c 13.2362
_cell_angle_alpha 90.00
_cell_angle_beta 90.00
_cell_angle_gamma 120.00
_symmetry_space_group_name_H-M 'P 1'
_symmetry_Int_Tables_number 1
_symmetry_space_group_name_Hall 'P 1'
loop_
_atom_site_label
_atom_site_type_symbol
_atom_site_fract_x
_atom_site_fract_y
_atom_site_fract_z
Ca1 Ca 0.0000 0.0000 0.0000
Ca2 Ca 0.0000 0.5000 0.0000
Ca3 Ca 0.0000 0.5000 0.5000
Ca4 Ca 0.5000 0.0000 0.0000
Ca5 Ca 0.5000 0.0000 0.5000
Ca6 Ca 0.5000 0.5000 0.0000
Ca7 Ca 0.5000 0.5000 0.5000
Ti1 Ti 0.0000 0.0000 0.2523
Ti2 Ti 0.0000 0.0000 0.7477
Ti3 Ti 0.0378 0.5189 0.2498
Ti4 Ti 0.4811 0.5189 0.2498
Ti5 Ti 0.4811 0.9622 0.2498
Ti6 Ti 0.5189 0.0378 0.7502
Ti7 Ti 0.5189 0.4811 0.7502
Ti8 Ti 0.9622 0.4811 0.7502
S1 S 0.1665 0.3331 0.8572
S2 S 0.1668 0.3335 0.3614
S3 S 0.1668 0.8332 0.3614
S4 S 0.1665 0.8335 0.8572
S5 S 0.3331 0.1665 0.1428
S6 S 0.3333 0.6667 0.1306
S7 S 0.3333 0.6667 0.6479
S8 S 0.3335 0.1668 0.6386
S9 S 0.6665 0.8332 0.3614
S10 S 0.6667 0.3333 0.3521
S11 S 0.6667 0.3333 0.8694
S12 S 0.6669 0.8335 0.8572
S13 S 0.8335 0.1665 0.1428
S14 S 0.8332 0.1668 0.6386
S15 S 0.8332 0.6665 0.6386
S16 S 0.8335 0.6669 0.1428
```

Most intense lines, 10 to 90 degrees two-theta, in order of rising 2θ:
- 13.38°, intensity 12.0, (0 0 2)
- 28.52°, intensity 23.6, (2 0 0)
- 31.62°, intensity 47.4, (0 2 2)
- 39.64°, intensity 100.0, (0 2 4)
- 50.51°, intensity 37.1, (2 2 0)
- 50.62°, intensity 9.9, (2 0 6)
- 55.54°, intensity 7.2, (0 0 8)
- 60.83°, intensity 5.9, (0 4 2)
- 63.61°, intensity 8.3, (2 0 8)
- 66.04°, intensity 17.3, (4 0 4)
- 78.37°, intensity 14.7, (2 2 8)
- 87.59°, intensity 14.3, (2 4 4)

=====

Calculated powder X-ray diffraction pattern
Compound: La5CeNd2Dy
Radiation: Cu Kα X-rays
Structure: a DFT-relaxed cell (PBE, Alexandria)
Peak positions follow from Bragg's law for the DFT cell and can differ from measured ones.

Crystal structure
```
data_La5CeNd2Dy
_chemical_formula_sum 'La10 Ce2 Nd4 Dy2'
_cell_length_a 8.2790
_cell_length_b 8.2790
_cell_length_c 9.4190
_cell_angle_alpha 90.00
_cell_angle_beta 90.00
_cell_angle_gamma 90.00
_symmetry_space_group_name_H-M 'P 1'
_symmetry_Int_Tables_number 1
_symmetry_space_group_name_Hall 'P 1'
loop_
_atom_site_label
_atom_site_type_symbol
_atom_site_fract_x
_atom_site_fract_y
_atom_site_fract_z
La1 La 0.0000 0.0000 0.0000
La2 La 0.1949 0.3051 0.2793
La3 La 0.1949 0.3051 0.7207
La4 La 0.3051 0.8051 0.2793
La5 La 0.3051 0.8051 0.7207
La6 La 0.5000 0.5000 0.0000
La7 La 0.6949 0.1949 0.2793
La8 La 0.6949 0.1949 0.7207
La9 La 0.8051 0.6949 0.2793
La10 La 0.8051 0.6949 0.7207
Ce1 Ce 0.0000 0.5000 0.5000
Ce2 Ce 0.5000 0.0000 0.5000
Nd1 Nd 0.1304 0.6304 0.0000
Nd2 Nd 0.3696 0.1304 0.0000
Nd3 Nd 0.6304 0.8696 0.0000
Nd4 Nd 0.8696 0.3696 0.0000
Dy1 Dy 0.0000 0.0000 0.5000
Dy2 Dy 0.5000 0.5000 0.5000
```

Most intense lines, 10 to 90 degrees two-theta, in order of rising 2θ:
- 25.86°, intensity 29.2, (2 1 1)
- 28.71°, intensity 100.0, (2 0 2)
- 30.54°, intensity 37.7, (2 2 0)
- 30.72°, intensity 68.5, (2 1 2)
- 34.25°, intensity 21.2, (3 1 0)
- 35.90°, intensity 13.7, (2 0 3)
- 38.22°, intensity 22.7, (0 0 4)
- 45.12°, intensity 21.1, (4 1 0)
- 49.34°, intensity 17.1, (4 1 2)
- 49.69°, intensity 15.4, (2 2 4)
- 53.16°, intensity 15.3, (4 2 2)
- 54.67°, intensity 11.2, (2 1 5)